[1]
Simulated powder diffraction line list
Compound: TbCe4Se5
Radiation: λ = 1.5418 Å (Cu Kα)
Structure: a DFT-relaxed cell (PBE, Alexandria)
Neutral-atom scattering factors, no anomalous dispersion.

Top 6 peaks for 2θ = 5–70°, by angle:
2θ/deg  Rel. int.
26.13  15
30.26  100
43.32  74
51.29  8
53.75  26
62.93  12

Unit cell a=15.0574 b=15.0574 c=15.0574 alpha=164.05 beta=164.05 gamma=22.63
Atoms (fractional coordinates):
1 Tb 0.0000 0.0000 0.0000
2 Ce 0.1993 0.1993 0.0000
3 Ce 0.3999 0.3999 0.0000
4 Ce 0.6001 0.6001 0.0000
5 Ce 0.8007 0.8007 0.0000
6 Se 0.0979 0.0979 0.0000
7 Se 0.2998 0.2998 0.0000
8 Se 0.5000 0.5000 0.0000
9 Se 0.7002 0.7002 0.0000
10 Se 0.9021 0.9021 0.0000

***

[2]
Simulated powder diffraction line list
Compound: TbCe2Se5
Radiation: λ = 1.5418 Å (Cu Kα)
Structure: a DFT-relaxed cell (PBE, Alexandria)
Neutral-atom scattering factors, no anomalous dispersion.

Top 6 peaks for 2θ = 5–70°, by angle:
2θ/deg  Rel. int.
24.35  39
25.52  35
34.51  100
35.90  45
42.85  39
43.86  44

Unit cell a=12.4210 b=8.4420 c=7.7861 alpha=90.00 beta=90.00 gamma=90.00
Atoms (fractional coordinates):
1 Tb 0.0081 0.2500 0.0785
2 Tb 0.4919 0.7500 0.5785
3 Tb 0.5081 0.2500 0.4215
4 Tb 0.9919 0.7500 0.9215
5 Ce 0.1802 0.5011 0.5155
6 Ce 0.1802 0.9989 0.5155
7 Ce 0.3198 0.0011 0.0155
8 Ce 0.3198 0.4989 0.0155
9 Ce 0.6802 0.5011 0.9845
10 Ce 0.6802 0.9989 0.9845
11 Ce 0.8198 0.0011 0.4845
12 Ce 0.8198 0.4989 0.4845
13 Se 0.0025 0.2500 0.4645
14 Se 0.1019 0.5427 0.1629
15 Se 0.1019 0.9573 0.1629
16 Se 0.1848 0.2500 0.8259
17 Se 0.2141 0.7500 0.7978
18 Se 0.2859 0.2500 0.2978
19 Se 0.3152 0.7500 0.3259
20 Se 0.3981 0.0427 0.6629
21 Se 0.3981 0.4573 0.6629
22 Se 0.4975 0.7500 0.9645
23 Se 0.5025 0.2500 0.0355
24 Se 0.6019 0.5427 0.3371
25 Se 0.6019 0.9573 0.3371
26 Se 0.6848 0.2500 0.6741
27 Se 0.7141 0.7500 0.7022
28 Se 0.7859 0.2500 0.2022
29 Se 0.8152 0.7500 0.1741
30 Se 0.8981 0.0427 0.8371
31 Se 0.8981 0.4573 0.8371
32 Se 0.9975 0.7500 0.5355

***

[3]
Simulated powder diffraction line list
Compound: TbCe4Se6
Radiation: λ = 1.5418 Å (Cu Kα)
Structure: a DFT-relaxed cell (PBE, Alexandria)
Neutral-atom scattering factors, no anomalous dispersion.

Top 6 peaks for 2θ = 5–70°, by angle:
2θ/deg  Rel. int.
25.96  82
30.51  72
31.96  95
34.12  100
35.63  99
46.10  54

Unit cell a=8.3478 b=8.3478 c=8.3478 alpha=90.82 beta=90.82 gamma=90.82
Atoms (fractional coordinates):
1 Tb 0.0000 0.0000 0.0000
2 Tb 0.5000 0.5000 0.5000
3 Ce 0.1344 0.7500 0.3656
4 Ce 0.2500 0.2500 0.2500
5 Ce 0.2500 0.6344 0.8656
6 Ce 0.3656 0.1344 0.7500
7 Ce 0.6344 0.8656 0.2500
8 Ce 0.7500 0.3656 0.1344
9 Ce 0.7500 0.7500 0.7500
10 Ce 0.8656 0.2500 0.6344
11 Se 0.0603 0.9145 0.6808
12 Se 0.0855 0.3192 0.9397
13 Se 0.1808 0.4145 0.5603
14 Se 0.3192 0.9397 0.0855
15 Se 0.4145 0.5603 0.1808
16 Se 0.4397 0.8192 0.5855
17 Se 0.5603 0.1808 0.4145
18 Se 0.5855 0.4397 0.8192
19 Se 0.6808 0.0603 0.9145
20 Se 0.8192 0.5855 0.4397
21 Se 0.9145 0.6808 0.0603
22 Se 0.9397 0.0855 0.3192

***

[4]
Simulated powder diffraction line list
Compound: TbCe3Se6
Radiation: λ = 1.5418 Å (Cu Kα)
Structure: a DFT-relaxed cell (PBE, Alexandria)
Neutral-atom scattering factors, no anomalous dispersion.

Top 6 peaks for 2θ = 5–70°, by angle:
2θ/deg  Rel. int.
23.81  99
24.06  100
34.30  87
36.86  71
43.50  63
43.93  58

Unit cell a=7.0517 b=7.7969 c=12.6300 alpha=90.00 beta=123.17 gamma=90.00
Atoms (fractional coordinates):
1 Tb 0.0000 0.0000 0.0000
2 Tb 0.0000 0.5000 0.5000
3 Ce 0.2052 0.1031 0.7482
4 Ce 0.2052 0.3969 0.2482
5 Ce 0.5000 0.0000 0.5000
6 Ce 0.5000 0.5000 0.0000
7 Ce 0.7948 0.6031 0.7518
8 Ce 0.7948 0.8969 0.2518
9 Se 0.0914 0.1846 0.4227
10 Se 0.0914 0.3154 0.9227
11 Se 0.2467 0.6810 0.4208
12 Se 0.2467 0.8190 0.9208
13 Se 0.4039 0.0610 0.2460
14 Se 0.4039 0.4390 0.7460
15 Se 0.5961 0.5610 0.2540
16 Se 0.5961 0.9390 0.7540
17 Se 0.7533 0.1810 0.0792
18 Se 0.7533 0.3190 0.5792
19 Se 0.9086 0.6846 0.0773
20 Se 0.9086 0.8154 0.5773

***

[5]
Simulated powder diffraction line list
Compound: Tb2Ce2Se7
Radiation: λ = 1.5418 Å (Cu Kα)
Structure: a DFT-relaxed cell (PBE, Alexandria)
Neutral-atom scattering factors, no anomalous dispersion.

Top 6 peaks for 2θ = 5–70°, by angle:
2θ/deg  Rel. int.
23.02  39
29.88  26
34.18  100
38.86  53
41.98  29
43.90  31

Unit cell a=8.8692 b=8.8692 c=8.8692 alpha=153.10 beta=68.51 gamma=118.33
Atoms (fractional coordinates):
1 Tb 0.0000 0.0000 0.0000
2 Tb 0.5442 0.0442 0.5000
3 Ce 0.0639 0.8036 0.2603
4 Ce 0.5433 0.8036 0.7397
5 Se 0.2251 0.7251 0.5000
6 Se 0.2896 0.1059 0.1837
7 Se 0.3579 0.4966 0.8613
8 Se 0.6354 0.4966 0.1387
9 Se 0.7111 0.3212 0.3898
10 Se 0.9222 0.1059 0.8163
11 Se 0.9314 0.3212 0.6102

***

[6]
Simulated powder diffraction line list
Compound: TbCe2Te2Se2
Radiation: λ = 1.5418 Å (Cu Kα)
Structure: a DFT-relaxed cell (PBE, Alexandria)
Neutral-atom scattering factors, no anomalous dispersion.

Top 6 peaks for 2θ = 5–70°, by angle:
2θ/deg  Rel. int.
23.53  72
32.52  100
33.52  80
47.40  58
48.12  38
59.30  21

Unit cell a=5.3468 b=5.3468 c=16.0623 alpha=90.00 beta=90.00 gamma=90.00
Atoms (fractional coordinates):
1 Tb 0.0000 0.0000 0.0000
2 Tb 0.5000 0.5000 0.5000
3 Ce 0.0000 0.0000 0.3821
4 Ce 0.0000 0.0000 0.6179
5 Ce 0.5000 0.5000 0.1179
6 Ce 0.5000 0.5000 0.8821
7 Te 0.0000 0.0000 0.1870
8 Te 0.0000 0.0000 0.8130
9 Te 0.5000 0.5000 0.3130
10 Te 0.5000 0.5000 0.6870
11 Se 0.0000 0.5000 0.0000
12 Se 0.0000 0.5000 0.5000
13 Se 0.5000 0.0000 0.0000
14 Se 0.5000 0.0000 0.5000

***

[7]
Simulated powder diffraction line list
Compound: TbCe3Tl4Se8
Radiation: λ = 1.5418 Å (Cu Kα)
Structure: a DFT-relaxed cell (PBE, Alexandria)
Neutral-atom scattering factors, no anomalous dispersion.

Top 6 peaks for 2θ = 5–70°, by angle:
2θ/deg  Rel. int.
25.05  19
28.42  100
39.33  37
41.90  36
51.41  19
68.40  16

Unit cell a=9.1998 b=9.1998 c=9.1998 alpha=55.90 beta=55.90 gamma=55.90
Atoms (fractional coordinates):
1 Tb 0.0000 0.0000 0.0000
2 Ce 0.0000 0.5000 0.5000
3 Ce 0.5000 0.0000 0.5000
4 Ce 0.5000 0.5000 0.0000
5 Tl 0.0000 0.0000 0.5000
6 Tl 0.0000 0.5000 0.0000
7 Tl 0.5000 0.0000 0.0000
8 Tl 0.5000 0.5000 0.5000
9 Se 0.2325 0.2325 0.7421
10 Se 0.2325 0.7421 0.2325
11 Se 0.2579 0.7675 0.7675
12 Se 0.2634 0.2634 0.2634
13 Se 0.7366 0.7366 0.7366
14 Se 0.7421 0.2325 0.2325
15 Se 0.7675 0.2579 0.7675
16 Se 0.7675 0.7675 0.2579

***

[8]
Simulated powder diffraction line list
Compound: Tb2CeYSe6
Radiation: λ = 1.5418 Å (Cu Kα)
Structure: a DFT-relaxed cell (PBE, Alexandria)
Neutral-atom scattering factors, no anomalous dispersion.

Top 6 peaks for 2θ = 5–70°, by angle:
2θ/deg  Rel. int.
16.68  48
22.96  54
27.98  74
33.72  40
36.92  100
42.86  66

Unit cell a=7.7735 b=7.7735 c=7.7735 alpha=56.09 beta=56.09 gamma=56.09
Atoms (fractional coordinates):
1 Tb 0.0000 0.0000 0.0000
2 Tb 0.4971 0.4971 0.4971
3 Ce 0.2981 0.2981 0.2981
4 Y 0.8022 0.8022 0.8022
5 Se 0.0950 0.4005 0.7084
6 Se 0.2066 0.8845 0.6112
7 Se 0.4005 0.7084 0.0950
8 Se 0.6112 0.2066 0.8845
9 Se 0.7084 0.0950 0.4005
10 Se 0.8845 0.6112 0.2066